1.
For NpHCl2, a DFT-relaxed cell (PBE, Alexandria) gives the simulated powder diffraction line list in this record (a wavelength of 1.5418 Å).
No peak broadening, texture or thermal motion is included.

Cell and atoms:
```
8
Lattice="6.6172 0.0000 0.0000 0.0000 3.8208 0.0000 -2.1028 0.0000 7.0412" Properties=species:S:1:pos:R:3 pbc="T T T"
Np 0.0000 0.0000 0.0000
Np 3.3086 1.9104 0.0000
H 1.1024 1.9104 0.0009
H 4.4110 0.0000 0.0009
Cl 0.1037 0.0000 5.2461
Cl 2.2066 0.0000 1.7946
Cl 3.4123 1.9104 5.2461
Cl 5.5152 1.9104 1.7946
```

Most intense lines, 10 to 90 degrees two-theta, by angle:
| 2θ/deg | d [Å] | I_rel |
| --- | --- | --- |
| 12.6 | 7.041 | 100.0 |
| 27.3 | 3.269 | 40.4 |
| 28.1 | 3.170 | 13.4 |
| 28.3 | 3.151 | 26.9 |
| 31.8 | 2.813 | 27.4 |
| 32.1 | 2.785 | 13.6 |
| 34.2 | 2.623 | 12.8 |
| 34.6 | 2.596 | 25.3 |
| 40.3 | 2.238 | 16.2 |
| 47.6 | 1.910 | 19.4 |



2.
For NpHCl4, a DFT-relaxed cell (PBE, Alexandria) gives the simulated powder diffraction line list in this record (a wavelength of 1.5418 Å).
No peak broadening, texture or thermal motion is included.

Cell and atoms:
```
12
Lattice="6.4306 0.0000 0.0000 -0.0032 7.6104 0.0000 -3.1859 -1.8793 7.8625" Properties=species:S:1:pos:R:3 pbc="T T T"
Np 0.0000 0.0000 0.0000
Np 3.2137 3.8052 0.0000
H -0.1375 4.7750 3.9170
H 3.3789 0.9561 3.9455
Cl -1.5988 3.8122 6.7993
Cl -1.5601 0.0070 6.7979
Cl 1.3144 -0.0143 2.1115
Cl 1.8987 3.7891 2.1111
Cl 1.3427 1.9420 5.7514
Cl 1.9271 5.7454 5.7510
Cl 4.8016 5.7241 1.0646
Cl 4.8403 1.9189 1.0632
```

Most intense lines, 10 to 90 degrees two-theta, by angle:
| 2θ/deg | d [Å] | I_rel |
| --- | --- | --- |
| 11.3 | 7.862 | 100.0 |
| 18.3 | 4.852 | 57.7 |
| 19.9 | 4.451 | 43.4 |
| 23.0 | 3.868 | 27.0 |
| 24.1 | 3.698 | 21.9 |
| 26.9 | 3.318 | 16.0 |
| 30.0 | 2.976 | 10.0 |
| 37.0 | 2.427 | 25.8 |
| 40.5 | 2.225 | 17.1 |
| 47.0 | 1.933 | 10.1 |



3.
For HPb3ClO3, a DFT-relaxed cell (PBE, Alexandria) gives the simulated powder diffraction line list in this record (a wavelength of 1.5418 Å).
No peak broadening, texture or thermal motion is included.

Cell and atoms:
```
32
Lattice="5.9240 0.0000 0.0000 0.0000 7.1443 0.0000 0.0000 0.0000 15.5373" Properties=species:S:1:pos:R:3 pbc="T T T"
H 0.0000 1.5373 0.0000
H 0.0000 5.6070 7.7686
H 2.9620 1.6090 4.5485
H 2.9620 5.5353 12.3171
Pb 0.0000 0.5540 12.9095
Pb 0.0000 2.8187 7.7608
Pb 0.0000 3.3407 3.4738
Pb 0.0000 3.8035 11.2425
Pb 0.0000 4.3256 15.5294
Pb 0.0000 6.5903 5.1409
Pb 2.9620 1.5447 10.1006
Pb 2.9620 2.0404 1.6484
Pb 2.9620 2.8657 13.3972
Pb 2.9620 4.2786 5.6286
Pb 2.9620 5.1039 9.4171
Pb 2.9620 5.5996 2.3320
Cl 0.0000 0.3084 1.8997
Cl 0.0000 6.8358 9.6683
Cl 2.9620 0.2112 6.4592
Cl 2.9620 6.9330 14.2278
O 0.0000 2.1127 14.7330
O 0.0000 5.0316 6.9644
O 1.4797 2.0333 11.9563
O 1.4806 3.3329 9.3684
O 1.4806 3.8113 1.5997
O 1.4797 5.1110 4.1876
O 2.9620 2.4217 3.9904
O 2.9620 4.7225 11.7591
O 4.4443 2.0333 11.9563
O 4.4434 3.3329 9.3684
O 4.4434 3.8113 1.5997
O 4.4443 5.1110 4.1876
```

Most intense lines, 10 to 90 degrees two-theta, by angle:
| 2θ/deg | d [Å] | I_rel |
| --- | --- | --- |
| 12.4 | 7.144 | 23.2 |
| 22.6 | 3.933 | 23.0 |
| 26.1 | 3.418 | 18.4 |
| 27.5 | 3.248 | 55.7 |
| 29.2 | 3.059 | 25.1 |
| 29.8 | 3.001 | 37.7 |
| 30.2 | 2.959 | 100.0 |
| 31.4 | 2.847 | 35.1 |
| 41.3 | 2.188 | 14.5 |
| 53.6 | 1.710 | 16.5 |



4.
For PrH2ClO2, a DFT-relaxed cell (PBE, Alexandria) gives the simulated powder diffraction line list in this record (a wavelength of 1.5418 Å).
No peak broadening, texture or thermal motion is included.

Cell and atoms:
```
12
Lattice="5.8216 0.0000 0.0000 0.0000 3.9729 0.0000 -1.2444 0.0000 7.0534" Properties=species:S:1:pos:R:3 pbc="T T T"
Pr 0.1285 0.9932 2.1383
Pr 4.4488 2.9797 4.9151
H 1.3741 2.1823 4.7012
H 1.3741 3.7771 4.7012
H 3.2032 0.1958 2.3522
H 3.2032 1.7906 2.3522
Cl 1.4293 2.9797 0.3843
Cl 3.1480 0.9932 6.6691
O -0.1367 0.9932 4.4789
O 1.8961 2.9797 4.4102
O 2.6812 0.9932 2.6432
O 4.7140 2.9797 2.5745
```

Most intense lines, 10 to 90 degrees two-theta, by angle:
| 2θ/deg | d [Å] | I_rel |
| --- | --- | --- |
| 15.5 | 5.733 | 100.0 |
| 21.6 | 4.113 | 39.9 |
| 25.7 | 3.462 | 70.1 |
| 27.3 | 3.267 | 28.3 |
| 29.0 | 3.082 | 84.7 |
| 34.0 | 2.637 | 28.6 |
| 35.8 | 2.508 | 32.6 |
| 38.7 | 2.324 | 43.2 |
| 39.1 | 2.307 | 29.3 |
| 39.4 | 2.286 | 26.6 |



5.
For PuHClO2, a DFT-relaxed cell (PBE, Alexandria) gives the simulated powder diffraction line list in this record (a wavelength of 1.5418 Å).
No peak broadening, texture or thermal motion is included.

Cell and atoms:
```
10
Lattice="6.0184 0.0000 0.0000 0.0000 3.5779 0.0000 -1.1540 0.0000 6.7815" Properties=species:S:1:pos:R:3 pbc="T T T"
Pu 0.6986 0.8945 1.3747
Pu 4.1657 2.6834 5.4068
H 1.8864 0.8945 5.2413
H 2.9780 2.6834 1.5402
Cl 0.8116 2.6834 3.7681
Cl 4.0527 0.8945 3.0134
O -0.6598 0.8945 5.9535
O 2.1166 2.6834 1.0663
O 2.7477 0.8945 5.7152
O 5.5242 2.6834 0.8281
```

Most intense lines, 10 to 90 degrees two-theta, by angle:
| 2θ/deg | d [Å] | I_rel |
| --- | --- | --- |
| 14.9 | 5.933 | 59.5 |
| 18.1 | 4.890 | 100.0 |
| 26.3 | 3.391 | 26.3 |
| 28.2 | 3.164 | 63.7 |
| 29.1 | 3.064 | 31.1 |
| 32.5 | 2.752 | 28.7 |
| 33.1 | 2.706 | 45.9 |
| 37.8 | 2.378 | 43.7 |
| 39.5 | 2.284 | 35.5 |
| 51.0 | 1.790 | 28.6 |



6.
For Rb2UH4Cl4O4, a DFT-relaxed cell (PBE, Alexandria) gives the simulated powder diffraction line list in this record (a wavelength of 1.5418 Å).
No peak broadening, texture or thermal motion is included.

Cell and atoms:
```
15
Lattice="7.0914 0.0000 0.0000 -3.5432 6.1500 0.0000 -1.3981 -0.9391 7.3051" Properties=species:S:1:pos:R:3 pbc="T T T"
Rb -0.6843 1.2572 1.7660
Rb 2.8345 3.9538 5.5391
U 2.8467 -0.4695 3.6526
H -0.6140 1.2621 6.0863
H 0.6155 0.5834 6.7219
H 1.5347 4.6275 0.5832
H 2.7641 3.9488 1.2188
Cl -0.7534 4.6545 1.1905
Cl -0.7845 3.2157 4.6674
Cl 2.9346 1.9953 2.6377
Cl 2.9035 0.5564 6.1146
O -0.3648 0.5366 6.6939
O 1.0317 -0.4057 3.6604
O 1.1185 5.6166 3.6447
O 2.5149 4.6744 0.6112
```

Most intense lines, 10 to 90 degrees two-theta, by angle:
| 2θ/deg | d [Å] | I_rel |
| --- | --- | --- |
| 12.1 | 7.305 | 81.1 |
| 14.5 | 6.104 | 100.0 |
| 16.9 | 5.243 | 69.3 |
| 19.9 | 4.470 | 65.8 |
| 20.1 | 4.413 | 60.7 |
| 25.6 | 3.482 | 92.0 |
| 26.1 | 3.420 | 43.6 |
| 26.2 | 3.402 | 43.2 |
| 27.1 | 3.285 | 32.5 |
| 31.4 | 2.847 | 37.2 |



7.
For SbH5Cl6O2, a DFT-relaxed cell (PBE, Alexandria) gives the simulated powder diffraction line list in this record (a wavelength of 1.5418 Å).
No peak broadening, texture or thermal motion is included.

Cell and atoms:
```
28
Lattice="6.1371 -3.7847 0.0000 6.1371 3.7847 0.0000 -5.3138 0.0000 12.8916" Properties=species:S:1:pos:R:3 pbc="T T T"
Sb 3.0686 1.8923 0.0000
Sb 0.4117 -1.8923 6.4458
H 2.3382 2.8685 7.8159
H 0.7393 2.0494 10.8181
H 2.1518 2.5936 9.6687
H 1.9653 2.8685 11.5215
H 3.5642 2.0494 8.5193
H 3.3963 -2.0494 4.3723
H 4.9951 -2.8685 1.3701
H 4.8087 -2.5936 3.2229
H 6.2211 -2.0494 2.0735
H 4.6222 -2.8685 5.0757
Cl -1.1680 1.0102 10.8920
Cl -0.5064 0.3144 6.9073
Cl 2.1505 -0.3144 0.4615
Cl 4.9996 1.3503 1.2825
Cl 4.6178 1.3503 5.1632
Cl 1.4889 -1.0102 4.4462
Cl 5.4715 1.0102 8.4454
Cl 2.3427 -1.3503 7.7283
Cl 1.9608 -1.3503 11.6090
Cl 4.8099 0.3144 12.4300
Cl 7.4668 -0.3144 5.9842
Cl 8.1284 -1.0102 1.9996
O 1.4955 2.6708 10.6728
O 2.8081 2.6708 8.6646
O 4.1524 -2.6708 4.2270
O 5.4650 -2.6708 2.2188
```

Most intense lines, 10 to 90 degrees two-theta, by angle:
| 2θ/deg | d [Å] | I_rel |
| --- | --- | --- |
| 13.7 | 6.446 | 59.5 |
| 14.3 | 6.199 | 100.0 |
| 15.6 | 5.674 | 35.8 |
| 16.4 | 5.400 | 29.4 |
| 16.9 | 5.238 | 64.5 |
| 22.4 | 3.961 | 16.5 |
| 26.1 | 3.417 | 15.4 |
| 27.7 | 3.220 | 29.5 |
| 31.5 | 2.838 | 21.3 |
| 35.9 | 2.503 | 14.3 |



8.
For SnH6Cl4O3, a DFT-relaxed cell (PBE, Alexandria) gives the simulated powder diffraction line list in this record (a wavelength of 1.5418 Å).
No peak broadening, texture or thermal motion is included.

Cell and atoms:
```
56
Lattice="6.4763 0.0000 0.0000 0.0000 11.5483 0.0000 -0.1521 0.0000 12.2560" Properties=species:S:1:pos:R:3 pbc="T T T"
Sn 0.8962 2.6988 4.0964
Sn 0.8202 3.0753 10.2244
Sn 5.5040 8.4729 2.0316
Sn 5.4279 8.8495 8.1597
H 0.1497 0.7303 8.8070
H 0.2257 5.0438 2.6789
H 0.5717 1.8610 0.3790
H 0.4957 3.9131 6.5070
H 0.7651 8.3292 6.0459
H 0.6891 8.9931 12.1739
H 0.7436 7.6172 10.0363
H 0.8196 9.7051 3.9083
H 2.3319 7.5622 11.7016
H 2.4079 9.7602 5.5736
H 2.5580 8.5222 4.6425
H 2.4819 8.8002 10.7705
H 3.8422 2.7480 1.4855
H 3.7662 3.0261 7.6135
H 3.9162 1.7880 6.6824
H 3.9923 3.9861 0.5544
H 5.5045 1.8431 8.3478
H 5.5806 3.9310 2.2198
H 5.6351 2.5551 0.0821
H 5.5590 3.2190 6.2101
H 5.8285 7.6352 5.7490
H 5.7524 9.6872 11.8771
H 6.0984 6.5044 9.5771
H 6.1745 10.8179 3.4491
Cl 1.0313 7.1405 2.3023
Cl 0.9553 10.1818 8.4303
Cl 1.8617 1.0848 5.6411
Cl 1.7857 4.6894 11.7691
Cl 1.9074 1.6812 2.0898
Cl 1.8313 4.0929 8.2178
Cl 2.4899 1.4178 10.5015
Cl 2.5660 4.3563 4.3735
Cl 3.7582 7.1919 7.8825
Cl 3.8343 10.1304 1.7545
Cl 4.4928 7.4553 4.0382
Cl 4.4168 9.8670 10.1662
Cl 4.5385 6.8589 0.4869
Cl 4.4624 10.4635 6.6149
Cl 5.3689 1.3664 3.8257
Cl 5.2928 4.4077 9.9537
O -0.0110 7.8514 6.4804
O 0.0651 9.4710 0.3524
O 0.0516 7.3639 9.3479
O 0.1277 9.9584 3.2199
O 1.8036 8.2141 11.1863
O 1.8797 9.1083 5.0583
O 4.4445 2.4399 7.1977
O 4.5205 3.3342 1.0697
O 6.1965 1.5898 9.0361
O 6.2725 4.1843 2.9081
O 6.2591 2.0773 11.9036
O 6.3351 3.6968 5.7756
```

Most intense lines, 10 to 90 degrees two-theta, by angle:
| 2θ/deg | d [Å] | I_rel |
| --- | --- | --- |
| 13.7 | 6.476 | 27.1 |
| 15.3 | 5.774 | 85.7 |
| 15.7 | 5.648 | 100.0 |
| 16.4 | 5.413 | 94.5 |
| 19.8 | 4.479 | 42.6 |
| 20.6 | 4.310 | 27.0 |
| 21.5 | 4.131 | 40.7 |
| 25.2 | 3.539 | 28.1 |
| 30.8 | 2.904 | 45.0 |
| 36.3 | 2.478 | 38.3 |